(1)
BaSn2PtAu: calculated powder X-ray diffraction pattern (λ = 1.5418 Å (Cu Kα)), based on a DFT-relaxed cell (GGA-PBE, OQMD).
Kinematic intensities with the Lorentz-polarization factor, no thermal factor.

Most intense lines, 2θ from 10° to 80°, sorted by position:
- 16.28 deg, I = 12
- 27.25 deg, I = 8
- 30.78 deg, I = 100
- 37.05 deg, I = 55
- 42.38 deg, I = 34
- 45.65 deg, I = 12
- 48.90 deg, I = 21
- 53.40 deg, I = 19
- 57.43 deg, I = 11
- 60.19 deg, I = 11
- 62.92 deg, I = 21
- 70.44 deg, I = 15

Cell lengths 4.852, 4.852, 10.892 Å; angles 90.00, 90.00, 90.00 degrees
Fractional positions:
Ba (0.250, 0.250, 0.247)
Ba (0.750, 0.750, 0.753)
Sn (0.250, 0.250, 0.865)
Sn (0.250, 0.750, 0.500)
Sn (0.750, 0.250, 0.500)
Sn (0.750, 0.750, 0.135)
Pt (0.250, 0.250, 0.617)
Pt (0.750, 0.750, 0.383)
Au (0.250, 0.750, 0.000)
Au (0.750, 0.250, 0.000)

***

(2)
Li3NbS4: calculated powder X-ray diffraction pattern (λ = 1.5418 Å (Cu Kα)), based on a DFT-relaxed cell (GGA-PBE, OQMD).
Kinematic intensities with the Lorentz-polarization factor, no thermal factor.

Most intense lines, 2θ from 10° to 80°, sorted by position:
- 18.71 deg, I = 100
- 32.70 deg, I = 51
- 37.93 deg, I = 53
- 42.62 deg, I = 6
- 46.91 deg, I = 2
- 50.93 deg, I = 37
- 54.73 deg, I = 5
- 58.36 deg, I = 29
- 61.85 deg, I = 5
- 68.52 deg, I = 9
- 71.74 deg, I = 16
- 78.01 deg, I = 2

Cell lengths 6.709, 6.709, 6.709 Å; angles 90.00, 90.00, 90.00 degrees
Fractional positions:
Li (0.000, 0.000, 0.500)
Li (0.000, 0.500, 0.000)
Li (0.000, 0.500, 0.500)
Li (0.500, 0.000, 0.000)
Li (0.500, 0.000, 0.500)
Li (0.500, 0.500, 0.000)
Nb (0.000, 0.000, 0.000)
Nb (0.500, 0.500, 0.500)
S (0.197, 0.197, 0.197)
S (0.197, 0.803, 0.803)
S (0.303, 0.303, 0.697)
S (0.303, 0.697, 0.303)
S (0.697, 0.303, 0.303)
S (0.697, 0.697, 0.697)
S (0.803, 0.197, 0.803)
S (0.803, 0.803, 0.197)

***

(3)
Nb4GaFeC2: calculated powder X-ray diffraction pattern (λ = 1.5418 Å (Cu Kα)), based on a DFT-relaxed cell (GGA-PBE, OQMD).
Kinematic intensities with the Lorentz-polarization factor, no thermal factor.

Most intense lines, 2θ from 10° to 80°, sorted by position:
- 33.22 deg, I = 23
- 33.90 deg, I = 4
- 38.98 deg, I = 100
- 40.27 deg, I = 16
- 43.01 deg, I = 3
- 53.16 deg, I = 13
- 59.07 deg, I = 3
- 59.35 deg, I = 21
- 69.76 deg, I = 4
- 72.34 deg, I = 10
- 73.32 deg, I = 15
- 74.17 deg, I = 15

Cell lengths 3.114, 3.114, 13.437 Å; angles 90.00, 90.00, 120.00 degrees
Fractional positions:
Nb (0.000, 0.000, 0.147)
Nb (0.000, 0.000, 0.853)
Nb (0.667, 0.333, 0.336)
Nb (0.667, 0.333, 0.664)
Ga (0.000, 0.000, 0.500)
Fe (0.667, 0.333, 0.000)
C (0.333, 0.667, 0.242)
C (0.333, 0.667, 0.758)

***

(4)
Be2Fe5B2: calculated powder X-ray diffraction pattern (λ = 1.5418 Å (Cu Kα)), based on a DFT-relaxed cell (GGA-PBE, OQMD).
Kinematic intensities with the Lorentz-polarization factor, no thermal factor.

Most intense lines, 2θ from 10° to 80°, sorted by position:
- 10.62 deg, I = 65
- 15.96 deg, I = 46
- 21.34 deg, I = 48
- 26.76 deg, I = 73
- 42.86 deg, I = 38
- 43.46 deg, I = 24
- 44.75 deg, I = 70
- 45.32 deg, I = 100
- 47.47 deg, I = 31
- 49.23 deg, I = 32
- 55.82 deg, I = 50
- 78.42 deg, I = 32

Cell lengths 16.717, 16.717, 16.717 Å; angles 8.37, 8.37, 8.37 degrees
Fractional positions:
Be (0.000, 0.000, 0.000)
Be (0.185, 0.185, 0.185)
Fe (0.109, 0.109, 0.109)
Fe (0.230, 0.230, 0.230)
Fe (0.372, 0.372, 0.372)
Fe (0.482, 0.482, 0.482)
Fe (0.957, 0.957, 0.957)
B (0.412, 0.412, 0.412)
B (0.593, 0.593, 0.593)

***

(5)
SrAsPd: calculated powder X-ray diffraction pattern (λ = 1.5418 Å (Cu Kα)), based on a DFT-relaxed cell (GGA-PBE, OQMD).
Kinematic intensities with the Lorentz-polarization factor, no thermal factor.

Most intense lines, 2θ from 10° to 80°, sorted by position:
- 23.82 deg, I = 11
- 25.63 deg, I = 12
- 32.35 deg, I = 100
- 35.27 deg, I = 99
- 36.75 deg, I = 34
- 41.89 deg, I = 58
- 43.01 deg, I = 44
- 43.96 deg, I = 32
- 58.59 deg, I = 17
- 62.33 deg, I = 35
- 67.01 deg, I = 36
- 77.28 deg, I = 12

Cell lengths 7.471, 7.471, 4.120 Å; angles 90.00, 90.00, 120.00 degrees
Fractional positions:
Sr (0.000, 0.603, 0.000)
Sr (0.397, 0.397, 0.000)
Sr (0.603, 0.000, 0.000)
As (0.000, 0.263, 0.500)
As (0.263, 0.000, 0.500)
As (0.737, 0.737, 0.500)
Pd (0.000, 0.000, 0.000)
Pd (0.333, 0.667, 0.500)
Pd (0.667, 0.333, 0.500)

***

(6)
Gd2H5: calculated powder X-ray diffraction pattern (λ = 1.5418 Å (Cu Kα)), based on a DFT-relaxed cell (GGA-PBE, OQMD).
Kinematic intensities with the Lorentz-polarization factor, no thermal factor.

Most intense lines, 2θ from 10° to 80°, sorted by position:
- 29.74 deg, I = 100
- 34.19 deg, I = 17
- 34.61 deg, I = 33
- 49.44 deg, I = 26
- 49.75 deg, I = 13
- 58.49 deg, I = 15
- 59.04 deg, I = 29
- 61.75 deg, I = 13
- 72.02 deg, I = 2
- 73.01 deg, I = 4

Cell lengths 6.399, 6.399, 6.399 Å; angles 132.22, 132.22, 69.89 degrees
Fractional positions:
Gd (0.000, 0.000, 0.000)
Gd (0.244, 0.744, 0.500)
Gd (0.494, 0.494, 0.000)
Gd (0.750, 0.250, 0.500)
H (0.122, 0.104, 0.482)
H (0.122, 0.640, 0.018)
H (0.246, 0.246, 0.000)
H (0.390, 0.372, 0.518)
H (0.390, 0.872, 0.018)
H (0.622, 0.104, 0.982)
H (0.622, 0.640, 0.518)
H (0.854, 0.372, 0.982)
H (0.854, 0.872, 0.482)
H (0.996, 0.496, 0.500)

***

(7)
Mo3WC4: calculated powder X-ray diffraction pattern (λ = 1.5418 Å (Cu Kα)), based on a DFT-relaxed cell (GGA-PBE, OQMD).
Kinematic intensities with the Lorentz-polarization factor, no thermal factor.

Most intense lines, 2θ from 10° to 80°, sorted by position:
- 17.94 deg, I = 37
- 29.91 deg, I = 25
- 32.60 deg, I = 86
- 36.35 deg, I = 47
- 37.46 deg, I = 87
- 43.32 deg, I = 100
- 43.87 deg, I = 38
- 61.36 deg, I = 26
- 64.18 deg, I = 45
- 71.23 deg, I = 19
- 73.46 deg, I = 22
- 74.15 deg, I = 24

Cell lengths 3.021, 3.023, 19.772 Å; angles 90.00, 90.00, 90.00 degrees
Fractional positions:
Mo (0.000, 0.000, 0.000)
Mo (0.000, 0.000, 0.398)
Mo (0.000, 0.500, 0.146)
Mo (0.500, 0.000, 0.646)
Mo (0.500, 0.500, 0.500)
Mo (0.500, 0.500, 0.898)
W (0.000, 0.500, 0.748)
W (0.500, 0.000, 0.248)
C (0.000, 0.000, 0.508)
C (0.000, 0.000, 0.891)
C (0.000, 0.500, 0.258)
C (0.000, 0.500, 0.640)
C (0.500, 0.000, 0.140)
C (0.500, 0.000, 0.758)
C (0.500, 0.500, 0.008)
C (0.500, 0.500, 0.391)

***

(8)
LaDy2Si4Ni4: calculated powder X-ray diffraction pattern (λ = 1.5418 Å (Cu Kα)), based on a DFT-relaxed cell (GGA-PBE, OQMD).
Kinematic intensities with the Lorentz-polarization factor, no thermal factor.

Most intense lines, 2θ from 10° to 80°, sorted by position:
- 24.76 deg, I = 31
- 31.16 deg, I = 14
- 34.98 deg, I = 100
- 35.23 deg, I = 38
- 41.74 deg, I = 22
- 44.49 deg, I = 22
- 44.91 deg, I = 22
- 56.83 deg, I = 12
- 57.98 deg, I = 19
- 62.98 deg, I = 12
- 65.07 deg, I = 14
- 73.77 deg, I = 13

Cell lengths 11.846, 11.846, 11.846 Å; angles 160.38, 160.20, 28.01 degrees
Fractional positions:
La (0.000, 0.000, 0.000)
Dy (0.349, 0.849, 0.500)
Dy (0.651, 0.151, 0.500)
Si (0.199, 0.699, 0.500)
Si (0.446, 0.446, 0.000)
Si (0.554, 0.554, 0.000)
Si (0.801, 0.301, 0.500)
Ni (0.101, 0.601, 0.500)
Ni (0.249, 0.249, 0.000)
Ni (0.751, 0.751, 0.000)
Ni (0.899, 0.399, 0.500)

***

(9)
TaBrCl2O: calculated powder X-ray diffraction pattern (λ = 1.5418 Å (Cu Kα)), based on a DFT-relaxed cell (GGA-PBE, OQMD).
Kinematic intensities with the Lorentz-polarization factor, no thermal factor.

Most intense lines, 2θ from 10° to 80°, sorted by position:
- 12.95 deg, I = 100
- 16.26 deg, I = 17
- 17.61 deg, I = 20
- 21.03 deg, I = 19
- 24.38 deg, I = 52
- 24.57 deg, I = 71
- 30.36 deg, I = 39
- 30.62 deg, I = 38
- 38.90 deg, I = 18
- 41.86 deg, I = 17
- 45.16 deg, I = 17
- 45.28 deg, I = 19

Cell lengths 7.123, 7.123, 11.735 Å; angles 119.61, 119.61, 31.28 degrees
Fractional positions:
Ta (0.126, 0.126, 0.199)
Ta (0.874, 0.874, 0.801)
Br (0.106, 0.102, 0.955)
Br (0.898, 0.894, 0.045)
Cl (0.110, 0.107, 0.382)
Cl (0.321, 0.318, 0.292)
Cl (0.682, 0.679, 0.708)
Cl (0.893, 0.890, 0.618)
O (0.387, 0.385, 0.820)
O (0.615, 0.613, 0.180)

***

(10)
Er3Ni7B2: calculated powder X-ray diffraction pattern (λ = 1.5418 Å (Cu Kα)), based on a DFT-relaxed cell (GGA-PBE, OQMD).
Kinematic intensities with the Lorentz-polarization factor, no thermal factor.

Most intense lines, 2θ from 10° to 80°, sorted by position:
- 21.22 deg, I = 18
- 32.33 deg, I = 21
- 35.50 deg, I = 48
- 37.57 deg, I = 100
- 37.74 deg, I = 27
- 41.22 deg, I = 22
- 41.73 deg, I = 67
- 43.86 deg, I = 89
- 65.11 deg, I = 40
- 69.56 deg, I = 22
- 73.68 deg, I = 29
- 75.14 deg, I = 24

Cell lengths 5.057, 5.057, 14.296 Å; angles 90.00, 90.00, 120.00 degrees
Fractional positions:
Er (0.333, 0.667, 0.033)
Er (0.333, 0.667, 0.250)
Er (0.333, 0.667, 0.467)
Er (0.667, 0.333, 0.533)
Er (0.667, 0.333, 0.750)
Er (0.667, 0.333, 0.967)
Ni (0.000, 0.000, 0.000)
Ni (0.000, 0.000, 0.500)
Ni (0.166, 0.331, 0.649)
Ni (0.166, 0.331, 0.851)
Ni (0.166, 0.834, 0.649)
Ni (0.166, 0.834, 0.851)
Ni (0.331, 0.166, 0.149)
Ni (0.331, 0.166, 0.351)
Ni (0.669, 0.834, 0.649)
Ni (0.669, 0.834, 0.851)
Ni (0.834, 0.166, 0.149)
Ni (0.834, 0.166, 0.351)
Ni (0.834, 0.669, 0.149)
Ni (0.834, 0.669, 0.351)
B (0.000, 0.000, 0.250)
B (0.000, 0.000, 0.750)
B (0.333, 0.667, 0.750)
B (0.667, 0.333, 0.250)

***

(11)
NdDyNi2B2C2: calculated powder X-ray diffraction pattern (λ = 1.5418 Å (Cu Kα)), based on a DFT-relaxed cell (GGA-PBE, OQMD).
Kinematic intensities with the Lorentz-polarization factor, no thermal factor.

Most intense lines, 2θ from 10° to 80°, sorted by position:
- 27.00 deg, I = 100
- 34.05 deg, I = 65
- 34.55 deg, I = 22
- 35.65 deg, I = 43
- 36.60 deg, I = 65
- 42.24 deg, I = 52
- 49.67 deg, I = 37
- 54.64 deg, I = 19
- 57.44 deg, I = 27
- 60.63 deg, I = 15
- 61.59 deg, I = 24
- 62.62 deg, I = 32

Cell lengths 3.671, 3.671, 7.555 Å; angles 90.00, 90.00, 90.00 degrees
Fractional positions:
Nd (0.000, 0.000, 0.000)
Dy (0.500, 0.500, 0.660)
Ni (0.000, 0.500, 0.331)
Ni (0.500, 0.000, 0.331)
B (0.000, 0.000, 0.468)
B (0.500, 0.500, 0.186)
C (0.000, 0.000, 0.666)
C (0.500, 0.500, 0.987)

***

(12)
TbInHg3Te4: calculated powder X-ray diffraction pattern (λ = 1.5418 Å (Cu Kα)), based on a DFT-relaxed cell (GGA-PBE, OQMD).
Kinematic intensities with the Lorentz-polarization factor, no thermal factor.

Most intense lines, 2θ from 10° to 80°, sorted by position:
- 13.34 deg, I = 100
- 24.84 deg, I = 21
- 24.96 deg, I = 71
- 27.04 deg, I = 21
- 31.74 deg, I = 32
- 32.60 deg, I = 58
- 32.76 deg, I = 42
- 33.96 deg, I = 65
- 36.49 deg, I = 21
- 39.44 deg, I = 28
- 42.67 deg, I = 31
- 59.48 deg, I = 20

Cell lengths 7.029, 8.476, 11.183 Å; angles 90.00, 106.23, 90.00 degrees
Fractional positions:
Tb (0.027, 0.250, 0.293)
Tb (0.973, 0.750, 0.707)
In (0.329, 0.750, 0.072)
In (0.671, 0.250, 0.928)
Hg (0.193, 0.033, 0.567)
Hg (0.193, 0.467, 0.567)
Hg (0.485, 0.750, 0.762)
Hg (0.515, 0.250, 0.238)
Hg (0.807, 0.533, 0.433)
Hg (0.807, 0.967, 0.433)
Te (0.148, 0.250, 0.060)
Te (0.261, 0.010, 0.831)
Te (0.261, 0.490, 0.831)
Te (0.458, 0.250, 0.498)
Te (0.542, 0.750, 0.502)
Te (0.739, 0.510, 0.169)
Te (0.739, 0.990, 0.169)
Te (0.852, 0.750, 0.940)